Computed XRD peak list
Compound: NdBPt2
Radiation: Cu Kα X-rays
Structure: a cell relaxed with PBE
No peak broadening, texture or thermal motion is included.

Principal peaks in the range 2θ = 10–90°, sorted by position:
| two_theta | I (rel.) |
| --- | --- |
| 32.69 | 145 |
| 33.42 | 420 |
| 34.59 | 1000 |
| 39.81 | 725 |
| 56.79 | 259 |
| 59.57 | 195 |
| 63.17 | 172 |
| 67.52 | 147 |
| 68.50 | 152 |
| 78.40 | 198 |

Structural model:
a = 5.4789 Å, b = 5.4789 Å, c = 8.0446 Å
α = 90.00°, β = 90.00°, γ = 120.00°
Sites, in units of the cell vectors:
Nd 0.0000 0.5000 0.1667
Nd 0.5000 0.0000 0.5000
Nd 0.5000 0.5000 0.8333
B 0.0000 0.5000 0.6667
B 0.5000 0.0000 0.0000
B 0.5000 0.5000 0.3333
Pt 0.1537 0.3075 0.5000
Pt 0.1537 0.8463 0.8333
Pt 0.3075 0.1537 0.1667
Pt 0.6925 0.8463 0.1667
Pt 0.8463 0.1537 0.8333
Pt 0.8463 0.6925 0.5000